Sr2MgH8O6: theoretical X-ray powder pattern (CuKα), based on a DFT-relaxed cell (GGA-PBE, Alexandria).
Lines closer than 0.1° are merged.

Structure:
```
Sr2MgH8O6
1.0
7.7556 0.0000 0.0000
0.0000 3.8758 0.0000
-1.4118 0.0000 7.9693
Sr Mg H O
2 1 8 6
Direct
0.0000 0.0000 0.0000
0.4896 0.0000 0.5392
0.6429 0.5000 0.1714
0.1437 0.2079 0.3698
0.1437 0.7921 0.3698
0.2054 0.5000 0.5842
0.2984 0.5000 0.0727
0.3038 0.2048 0.8581
0.3038 0.7952 0.8581
0.7389 0.5000 0.8729
0.7802 0.5000 0.5967
0.0902 0.0000 0.3023
0.2093 0.5000 0.9693
0.2579 0.5000 0.4832
0.3348 0.0000 0.7924
0.6836 0.5000 0.6594
0.7927 0.5000 0.9962
```

Principal peaks in the range 15 to 90 degrees two-theta, by angle:
2θ 17.43, I = 100; 2θ 22.31, I = 52; 2θ 23.30, I = 29; 2θ 27.30, I = 55; 2θ 28.96, I = 57; 2θ 32.93, I = 79; 2θ 33.74, I = 29; 2θ 37.69, I = 44; 2θ 42.34, I = 32; 2θ 42.50, I = 40